# Sm3Ga2
Calculated X-ray diffraction stick pattern, a wavelength of 1.5418 Å. Input: a DFT-relaxed cell (PBE, Alexandria).

The 6 most intense peaks (2θ = 10–90°), by intensity:
two_theta	d (Å)	Rel. int.
31.6	2.828	100
33.5	2.675	96
32.4	2.764	39
32.0	2.799	29
35.8	2.506	28
33.8	2.655	24

Atomic structure:
```
data_Sm3Ga2
_cell_length_a 11.874
_cell_length_b 11.874
_cell_length_c 15.247
_cell_angle_alpha 90.00
_cell_angle_beta 90.00
_cell_angle_gamma 90.00
_symmetry_space_group_name_H-M 'I 4/m c m'
_symmetry_Int_Tables_number 140
_symmetry_space_group_name_Hall '-I 4 2c'
loop_
_atom_site_label
_atom_site_type_symbol
_atom_site_fract_x
_atom_site_fract_y
_atom_site_fract_z
Sm1 Sm 0.000 0.500 0.148
Sm2 Sm 0.068 0.201 0.134
Sm3 Sm 0.168 0.332 0.500
Ga1 Ga 0.000 0.000 0.000
Ga2 Ga 0.000 0.000 0.250
Ga3 Ga 0.116 0.384 0.000
Ga4 Ga 0.179 0.321 0.297
```